Simulated XRD peak list of NbCu23Pd6 for Cu Kα, from a DFT-relaxed cell (PBE, Alexandria).
Neutral-atom scattering factors, no anomalous dispersion.

Most intense lines, 10 to 90 degrees two-theta, low angle first:
2θ/deg  d (Å)  intensity  index
21.6  4.121  3  2 2 0
34.4  2.606  12  4 2 0
37.8  2.379  3  4 2 2
40.2  2.243  4  3 3 3
43.9  2.060  100  4 4 0
46.8  1.942  5  6 0 0
63.9  1.457  13  8 0 0
66.1  1.413  5  6 4 4
80.8  1.190  24  8 4 4
86.3  1.127  2  7 7 3

Structure:
Cell lengths 11.655, 11.655, 11.655 Å; angles 90.00, 90.00, 90.00 degrees
Space group Fm-3m (No. 225)
Symmetry-distinct sites (fractional):
Nb1 0.000 0.000 0.000 (multiplicity 4)
Cu1 0.000 0.000 0.500 (multiplicity 4)
Cu2 0.000 0.250 0.250 (multiplicity 24)
Cu3 0.129 0.129 0.371 (multiplicity 32)
Cu4 0.144 0.144 0.144 (multiplicity 32)
Pd1 0.000 0.000 0.240 (multiplicity 24)